This entry pairs a crystal structure of K2ZnIrO4 with its simulated XRD peak list. Radiation: Cu Kα, 1.54184 Å. Structure: a structure optimized by DFT (GGA-PBE).

Most intense lines, 2θ from 15° to 90°, most intense first:
| two_theta | Rel. int. | h k l |
| --- | --- | --- |
| 17.09 | 100 | 0 2 2 |
| 19.37 | 46 | 0 0 4 |
| 32.57 | 32 | 0 2 6 |
| 33.17 | 26 | 2 2 0 |
| 38.70 | 19 | 2 2 4 |
| 51.69 | 17 | 2 4 6 |
| 28.32 | 17 | 0 4 0 |
| 42.85 | 16 | 2 4 2 |
| 26.38 | 13 | 1 3 1 |
| 35.81 | 12 | 1 3 5 |

Crystal structure
Unit cell a=5.979 b=12.605 c=18.329 alpha=90.00 beta=90.00 gamma=90.00
Space group Fddd (No. 70, origin choice 2)
Symmetry-distinct sites (fractional):
K 0.125 0.125 0.307 (multiplicity 16)
Zn 0.125 0.125 0.625 (multiplicity 8)
Ir 0.125 0.125 0.125 (multiplicity 8)
O 0.114 0.283 0.404 (multiplicity 32)